Entry 1:
Starting from a DFT-relaxed cell (PBE, Alexandria), the X-ray diffraction stick pattern of PrNd4Y2 was simulated for a wavelength of 1.5418 Å.
Intensities are scaled so that the largest is 100.

Largest 12 diffraction maxima, by angle, 2θ = 10–80°:
(1 7 1), 29.8°, intensity 100
(4 2 0), 30.4°, intensity 38
(2 0 2), 31.1°, intensity 64
(3 5 1), 31.8°, intensity 36
(2 2 2), 31.9°, intensity 28
(3 7 1), 36.6°, intensity 27
(5 5 1), 43.9°, intensity 12
(1 7 3), 49.8°, intensity 20
(6 2 2), 53.9°, intensity 12
(2 14 0), 54.4°, intensity 15
(0 14 2), 59.8°, intensity 14
(4 12 2), 61.6°, intensity 11

Structural model:
Lattice parameters (Å, degrees): 12.1258 24.5647 6.5389 90.00 90.00 90.00
Space group Fdd2 (No. 43)
One atom of each set of equivalent atoms:
Pr  0.0000  0.0000  0.0000 x8
Nd  0.0485  0.0720  0.5190 x16
Nd  0.0625  0.1425  0.0425 x16
Y  0.0274  0.2164  0.5654 x16



Entry 2:
Starting from a DFT-relaxed cell (PBE, Alexandria), the X-ray diffraction stick pattern of Pr2Nd2Y5 was simulated for a wavelength of 1.5418 Å.
Intensities are scaled so that the largest is 100.

Largest 12 diffraction maxima, by angle, 2θ = 10–80°:
(1 1 -1), 27.1°, intensity 74
(3 1 0), 29.5°, intensity 47
(6 0 0), 30.4°, intensity 100
(2 0 3), 30.5°, intensity 92
(4 0 -3), 31.4°, intensity 83
(3 1 -2), 33.5°, intensity 85
(3 1 2), 36.1°, intensity 63
(5 1 1), 38.2°, intensity 33
(1 1 -5), 52.8°, intensity 32
(8 0 3), 53.5°, intensity 27
(6 2 0), 61.4°, intensity 51
(12 0 0), 63.3°, intensity 28

Structural model:
Lattice parameters (Å, degrees): 17.8372 3.5253 9.9605 90.00 98.81 90.00
Space group C2/m (No. 12)
One atom of each set of equivalent atoms:
Pr  0.1640  0.0000  0.2244 x4
Nd  0.0046  0.5000  0.6873 x4
Y  0.0000  0.0000  0.0000 x2
Y  0.1710  0.5000  0.5412 x4
Y  0.1743  0.0000  0.8672 x4



Entry 3:
Starting from a DFT-relaxed cell (PBE, Alexandria), the X-ray diffraction stick pattern of Pr2Nd8Y3 was simulated for a wavelength of 1.5418 Å.
Intensities are scaled so that the largest is 100.

Largest 12 diffraction maxima, by angle, 2θ = 10–80°:
(2 2 0), 24.5°, intensity 24
(0 2 1), 27.8°, intensity 11
(5 1 1), 28.8°, intensity 37
(6 0 -1), 30.0°, intensity 42
(0 0 2), 31.1°, intensity 45
(4 2 -1), 32.7°, intensity 100
(8 0 0), 34.3°, intensity 10
(2 2 -2), 40.0°, intensity 13
(0 4 0), 46.9°, intensity 16
(4 2 -3), 56.4°, intensity 21
(9 3 2), 62.7°, intensity 13
(5 5 1), 66.3°, intensity 10

Structural model:
Lattice parameters (Å, degrees): 20.9257 7.7512 5.7470 90.00 90.02 90.00
Space group C2/m (No. 12)
One atom of each set of equivalent atoms:
Pr  0.2404  0.0000  0.4990 x4
Nd  0.1040  0.2951  0.5001 x8
Nd  0.1307  0.0000  0.9996 x4
Nd  0.1694  0.5000  0.0007 x4
Y  0.0000  0.0000  0.5000 x2
Y  0.0000  0.2842  0.0000 x4



Entry 4:
Starting from a DFT-relaxed cell (PBE, Alexandria), the X-ray diffraction stick pattern of Pr12Nd5Y was simulated for a wavelength of 1.5418 Å.
Intensities are scaled so that the largest is 100.

Largest 8 diffraction maxima, by angle, 2θ = 10–80°:
(3 3 1), 29.6°, intensity 100
(6 0 0), 34.3°, intensity 51
(6 6 0), 49.3°, intensity 36
(9 3 1), 58.5°, intensity 43
(6 6 2), 61.4°, intensity 12
(0 0 4), 72.2°, intensity 4
(12 0 0), 72.3°, intensity 2
(9 9 1), 79.9°, intensity 18

Structural model:
Lattice parameters (Å, degrees): 15.6879 15.6999 5.2360 90.00 90.00 90.00
Space group Cmmm (No. 65)
One atom of each set of equivalent atoms:
Pr  0.0000  0.1654  0.0000 x4
Pr  0.0000  0.3333  0.5000 x4
Pr  0.1664  0.1658  0.5000 x8
Pr  0.1667  0.3337  0.0000 x8
Nd  0.0000  0.5000  0.0000 x2
Nd  0.1661  0.0000  0.0000 x4
Nd  0.1668  0.5000  0.5000 x4
Y  0.0000  0.0000  0.5000 x2



Entry 5:
Starting from a DFT-relaxed cell (PBE, Alexandria), the X-ray diffraction stick pattern of Pr8Nd3Y was simulated for a wavelength of 1.5418 Å.
Intensities are scaled so that the largest is 100.

Largest 12 diffraction maxima, by angle, 2θ = 10–80°:
(2 1 1), 23.5°, intensity 71
(2 0 2), 25.0°, intensity 73
(2 2 0), 28.3°, intensity 82
(0 0 4), 30.4°, intensity 78
(2 1 3), 32.0°, intensity 33
(2 2 2), 32.2°, intensity 26
(3 1 2), 35.2°, intensity 100
(2 2 4), 42.0°, intensity 56
(4 0 2), 43.3°, intensity 50
(5 1 2), 54.7°, intensity 29
(3 1 6), 57.2°, intensity 25
(4 4 4), 67.3°, intensity 36

Structural model:
Lattice parameters (Å, degrees): 8.9326 8.9326 11.7598 90.00 90.00 90.00
Space group I-42m (No. 121)
One atom of each set of equivalent atoms:
Pr  0.1243  0.1243  0.2503 x8
Pr  0.2490  0.2490  0.5040 x8
Nd  0.0000  0.0000  0.0000 x2
Nd  0.0000  0.5000  0.2500 x4
Y  0.0000  0.0000  0.5000 x2



Entry 6:
Starting from a DFT-relaxed cell (PBE, Alexandria), the X-ray diffraction stick pattern of PrNd7Y6 was simulated for a wavelength of 1.5418 Å.
Intensities are scaled so that the largest is 100.

Largest 12 diffraction maxima, by angle, 2θ = 10–80°:
(2 -1 3), 23.5°, intensity 47
(0 2 4), 28.4°, intensity 51
(1 0 7), 30.4°, intensity 35
(2 0 5), 30.9°, intensity 18
(3 -1 1), 31.3°, intensity 100
(1 1 6), 31.5°, intensity 88
(3 -2 2), 32.1°, intensity 48
(2 0 8), 40.1°, intensity 16
(4 -3 7), 51.9°, intensity 30
(2 -1 12), 53.5°, intensity 14
(4 1 0), 55.2°, intensity 17
(6 -3 3), 64.8°, intensity 16

Structural model:
Lattice parameters (Å, degrees): 8.8037 8.8037 22.3027 90.00 90.00 120.00
Space group R3 (No. 146, hexagonal axes)
One atom of each set of equivalent atoms:
Pr  0.0000  0.0000  0.0000 x3
Nd  0.0000  0.0000  0.6894 x3
Nd  0.0493  0.6003  0.2258 x9
Nd  0.1150  0.3814  0.7974 x9
Y  0.0040  0.7727  0.4036 x9
Y  0.1059  0.4354  0.9530 x9



Entry 7:
Starting from a DFT-relaxed cell (PBE, Alexandria), the X-ray diffraction stick pattern of PrNd7Y12 was simulated for a wavelength of 1.5418 Å.
Intensities are scaled so that the largest is 100.

Largest 12 diffraction maxima, by angle, 2θ = 10–80°:
(2 0 2), 20.3°, intensity 14
(1 0 4), 26.9°, intensity 15
(1 3 1), 29.2°, intensity 55
(0 2 4), 30.3°, intensity 40
(4 -1 2), 31.4°, intensity 100
(1 3 4), 38.8°, intensity 36
(4 1 3), 41.6°, intensity 35
(3 0 6), 46.2°, intensity 11
(1 5 2), 46.7°, intensity 14
(5 2 0), 50.5°, intensity 13
(7 -5 3), 54.5°, intensity 20
(6 -3 6), 58.3°, intensity 14

Structural model:
Lattice parameters (Å, degrees): 13.0330 13.0330 13.8456 90.00 90.00 120.00
Space group R-3 (No. 148, hexagonal axes)
One atom of each set of equivalent atoms:
Pr  0.0000  0.0000  0.0000 x3
Nd  0.0000  0.0000  0.5000 x3
Nd  0.0680  0.8656  0.8461 x18
Y  0.0017  0.4348  0.2493 x18
Y  0.0675  0.2010  0.3488 x18



Entry 8:
Starting from a DFT-relaxed cell (PBE, Alexandria), the X-ray diffraction stick pattern of Pr2Nd3Y8 was simulated for a wavelength of 1.5418 Å.
Intensities are scaled so that the largest is 100.

Largest 12 diffraction maxima, by angle, 2θ = 10–80°:
(2 0 0), 24.6°, intensity 23
(1 1 -3), 29.1°, intensity 30
(0 1 3), 30.3°, intensity 31
(0 2 0), 31.3°, intensity 39
(2 1 1), 32.9°, intensity 100
(0 0 4), 34.8°, intensity 14
(3 0 -2), 35.0°, intensity 10
(2 2 0), 40.2°, intensity 12
(0 2 4), 47.5°, intensity 12
(2 3 1), 56.8°, intensity 21
(2 2 4), 60.3°, intensity 9
(3 2 -6), 63.3°, intensity 9

Structural model:
Lattice parameters (Å, degrees): 7.7408 5.7094 11.0149 90.00 110.55 90.00
Space group P2/m (No. 10)
One atom of each set of equivalent atoms:
Pr  0.2420  0.0000  0.4829 x2
Nd  0.0000  0.0000  0.0000 x1
Nd  0.2918  0.5000  0.9999 x2
Y  0.1321  0.5000  0.2639 x2
Y  0.1827  0.0000  0.7863 x2
Y  0.3337  0.5000  0.6665 x2
Y  0.3962  0.0000  0.2139 x2



Entry 9:
Starting from a DFT-relaxed cell (PBE, Alexandria), the X-ray diffraction stick pattern of Pr3Nd8Y3 was simulated for a wavelength of 1.5418 Å.
Intensities are scaled so that the largest is 100.

Largest 12 diffraction maxima, by angle, 2θ = 10–80°:
(0 3 1), 24.9°, intensity 18
(1 2 3), 28.3°, intensity 16
(1 1 4), 28.9°, intensity 38
(0 3 3), 29.9°, intensity 26
(2 0 0), 30.8°, intensity 55
(1 3 2), 31.0°, intensity 100
(1 0 5), 32.9°, intensity 52
(2 3 3), 43.4°, intensity 19
(3 3 2), 54.9°, intensity 20
(3 0 5), 56.1°, intensity 19
(2 6 0), 59.5°, intensity 17
(1 6 5), 60.8°, intensity 15

Structural model:
Lattice parameters (Å, degrees): 5.8043 11.0285 15.4327 90.00 90.00 90.00
Space group Immm (No. 71)
One atom of each set of equivalent atoms:
Pr  0.0000  0.0000  0.0000 x2
Pr  0.0000  0.5000  0.3185 x4
Nd  0.0000  0.1596  0.2783 x8
Nd  0.0000  0.3378  0.1030 x8
Y  0.0000  0.0000  0.5000 x2
Y  0.0000  0.3011  0.5000 x4



Entry 10:
Starting from a DFT-relaxed cell (PBE, Alexandria), the X-ray diffraction stick pattern of Pr5Nd6Y2 was simulated for a wavelength of 1.5418 Å.
Intensities are scaled so that the largest is 100.

Largest 12 diffraction maxima, by angle, 2θ = 10–80°:
(4 1 0), 30.3°, intensity 49
(1 7 0), 30.5°, intensity 100
(2 3 1), 31.2°, intensity 91
(2 4 1), 33.3°, intensity 37
(3 6 0), 34.0°, intensity 19
(3 3 1), 35.6°, intensity 33
(0 0 2), 49.5°, intensity 19
(1 10 1), 50.4°, intensity 12
(1 11 1), 54.4°, intensity 12
(6 4 1), 55.3°, intensity 12
(4 1 2), 59.1°, intensity 15
(1 7 2), 59.3°, intensity 17

Structural model:
Lattice parameters (Å, degrees): 11.9212 21.1260 3.6829 90.00 90.00 90.00
Space group Pbam (No. 55)
One atom of each set of equivalent atoms:
Pr  0.0000  0.0000  0.0000 x2
Pr  0.0877  0.2738  0.0000 x4
Pr  0.1977  0.5543  0.0000 x4
Nd  0.0625  0.4197  0.5000 x4
Nd  0.0816  0.1324  0.5000 x4
Nd  0.1750  0.8625  0.0000 x4
Y  0.1694  0.7113  0.5000 x4



Entry 11:
Starting from a DFT-relaxed cell (PBE, Alexandria), the X-ray diffraction stick pattern of Pr4Nd2Y5 was simulated for a wavelength of 1.5418 Å.
Intensities are scaled so that the largest is 100.

Largest 12 diffraction maxima, by angle, 2θ = 10–80°:
(6 0 -1), 29.5°, intensity 52
(0 2 0), 30.1°, intensity 59
(5 1 1), 31.4°, intensity 100
(1 1 -2), 31.6°, intensity 96
(6 2 -1), 42.6°, intensity 38
(4 0 3), 47.6°, intensity 15
(11 1 0), 53.4°, intensity 16
(7 1 -3), 53.8°, intensity 15
(5 3 1), 54.3°, intensity 21
(1 3 -2), 54.4°, intensity 22
(4 2 3), 57.3°, intensity 24
(10 2 2), 65.5°, intensity 10

Structural model:
Lattice parameters (Å, degrees): 19.7913 5.9387 6.4570 90.00 94.60 90.00
Space group C2/m (No. 12)
One atom of each set of equivalent atoms:
Pr  0.0358  0.0000  0.2663 x4
Pr  0.1921  0.5000  0.0718 x4
Nd  0.0978  0.5000  0.5428 x4
Y  0.0000  0.5000  0.0000 x2
Y  0.1319  0.0000  0.8491 x4
Y  0.2158  0.0000  0.3904 x4



Entry 12:
Starting from a DFT-relaxed cell (PBE, Alexandria), the X-ray diffraction stick pattern of Pr2Nd7Y2 was simulated for a wavelength of 1.5418 Å.
Intensities are scaled so that the largest is 100.

Largest 12 diffraction maxima, by angle, 2θ = 10–80°:
(5 1 -2), 27.4°, intensity 40
(6 0 -2), 28.8°, intensity 38
(2 2 -2), 29.1°, intensity 32
(0 2 2), 29.4°, intensity 81
(4 0 -4), 29.6°, intensity 27
(4 0 2), 30.4°, intensity 100
(1 1 -4), 31.8°, intensity 51
(4 2 -2), 32.4°, intensity 51
(4 2 0), 32.6°, intensity 91
(5 1 -4), 34.0°, intensity 30
(0 2 4), 40.1°, intensity 27
(0 4 0), 51.3°, intensity 31

Structural model:
Lattice parameters (Å, degrees): 18.7290 7.1238 12.6067 90.00 113.24 90.00
Space group C2/c (No. 15)
One atom of each set of equivalent atoms:
Pr  0.1169  0.2225  0.0315 x8
Nd  0.0000  0.0030  0.2500 x4
Nd  0.0318  0.4983  0.6544 x8
Nd  0.1181  0.2267  0.5315 x8
Nd  0.2007  0.4982  0.3779 x8
Y  0.2048  0.0020  0.8161 x8